(1)
# BaAg4Pd
Calculated PXRD pattern, copper Kα. Input: a DFT-relaxed cell (PBE, Alexandria).
No peak broadening, texture or thermal motion is included.

Crystal structure
Cell lengths 8.9064, 5.9399, 5.8822 Å; angles 90.00, 91.34, 90.00 degrees
Space group C2/m (No. 12)
Symmetry-distinct sites (fractional):
Ba: 0.0000 0.0000 0.0000 (multiplicity 2)
Ag: 0.0021 0.5000 0.7377 (multiplicity 4)
Ag: 0.2500 0.2500 0.5000 (multiplicity 4)
Pd: 0.0000 0.0000 0.5000 (multiplicity 2)

Main lines, by angle (2θ = 10–90°):
15.07 deg, 5.881 Å, intensity 45, hkl 0 0 1
19.94 deg, 4.452 Å, intensity 28, hkl 2 0 0
35.32 deg, 2.541 Å, intensity 49, hkl 1 1 -2
35.74 deg, 2.513 Å, intensity 47, hkl 1 1 2
36.36 deg, 2.471 Å, intensity 100, hkl 2 2 0
40.53 deg, 2.226 Å, intensity 37, hkl 4 0 0
45.55 deg, 1.991 Å, intensity 23, hkl 3 1 -2
46.57 deg, 1.950 Å, intensity 22, hkl 3 1 2



(2)
# Ba8AgPd3
Calculated PXRD pattern, copper Kα. Input: a DFT-relaxed cell (PBE, Alexandria).
No peak broadening, texture or thermal motion is included.

Crystal structure
Cell lengths 15.8141, 9.4597, 9.2534 Å; angles 90.00, 123.74, 90.00 degrees
Space group C2/m (No. 12)
Symmetry-distinct sites (fractional):
Ba: 0.0076 0.2399 0.2502 (multiplicity 8)
Ba: 0.2454 0.0000 0.2567 (multiplicity 4)
Ba: 0.2476 0.0000 0.7300 (multiplicity 4)
Ag: 0.0000 0.5000 0.0000 (multiplicity 2)
Pd: 0.0000 0.0000 0.0000 (multiplicity 2)
Pd: 0.2500 0.2500 0.5000 (multiplicity 4)

Main lines, by angle (2θ = 10–90°):
11.89 deg, 7.441 Å, intensity 45, hkl 2 0 -1
22.09 deg, 4.025 Å, intensity 19, hkl 2 0 1
23.15 deg, 3.842 Å, intensity 37, hkl 2 2 0
26.97 deg, 3.306 Å, intensity 100, hkl 2 2 -2
27.12 deg, 3.288 Å, intensity 50, hkl 4 0 0
38.09 deg, 2.363 Å, intensity 59, hkl 2 2 2
39.13 deg, 2.302 Å, intensity 36, hkl 6 2 -2
47.35 deg, 1.920 Å, intensity 21, hkl 4 4 0



(3)
# Ba2AgSb4Pd3
Calculated PXRD pattern, copper Kα. Input: a DFT-relaxed cell (PBE, Alexandria).
No peak broadening, texture or thermal motion is included.

Crystal structure
Cell lengths 4.8383, 4.8383, 10.9318 Å; angles 90.00, 90.00, 90.00 degrees
Space group P-4m2 (No. 115)
Symmetry-distinct sites (fractional):
Ba: 0.0000 0.5000 0.2459 (multiplicity 2)
Ag: 0.5000 0.5000 0.0000 (multiplicity 1)
Sb: 0.0000 0.0000 0.5000 (multiplicity 1)
Sb: 0.0000 0.5000 0.8681 (multiplicity 2)
Sb: 0.5000 0.5000 0.5000 (multiplicity 1)
Pd: 0.0000 0.0000 0.0000 (multiplicity 1)
Pd: 0.0000 0.5000 0.6194 (multiplicity 2)

Main lines, by angle (2θ = 10–90°):
30.72 deg, 2.911 Å, intensity 63, hkl 1 0 3
30.83 deg, 2.900 Å, intensity 100, hkl 1 1 2
37.17 deg, 2.419 Å, intensity 79, hkl 2 0 0
42.33 deg, 2.135 Å, intensity 33, hkl 1 1 4
45.53 deg, 1.992 Å, intensity 22, hkl 1 0 5
48.96 deg, 1.860 Å, intensity 34, hkl 2 1 3
53.57 deg, 1.711 Å, intensity 27, hkl 2 2 0
63.08 deg, 1.474 Å, intensity 33, hkl 3 1 2



(4)
# Ba2TlAgPd
Calculated PXRD pattern, copper Kα. Input: a DFT-relaxed cell (PBE, Alexandria).
No peak broadening, texture or thermal motion is included.

Crystal structure
Cell lengths 6.0887, 6.0887, 5.1998 Å; angles 90.00, 90.00, 90.00 degrees
Space group P4/mmm (No. 123)
Symmetry-distinct sites (fractional):
Ba: 0.0000 0.5000 0.0000 (multiplicity 2)
Tl: 0.0000 0.0000 0.5000 (multiplicity 1)
Ag: 0.5000 0.5000 0.5000 (multiplicity 1)
Pd: 0.5000 0.5000 0.0000 (multiplicity 1)

Main lines, by angle (2θ = 10–90°):
22.49 deg, 3.954 Å, intensity 27, hkl 1 0 1
26.89 deg, 3.316 Å, intensity 100, hkl 1 1 1
29.34 deg, 3.044 Å, intensity 86, hkl 2 0 0
34.50 deg, 2.600 Å, intensity 28, hkl 0 0 2
41.97 deg, 2.153 Å, intensity 32, hkl 2 2 0
45.90 deg, 1.977 Å, intensity 50, hkl 2 0 2
50.55 deg, 1.806 Å, intensity 35, hkl 3 1 1
55.41 deg, 1.658 Å, intensity 29, hkl 2 2 2